No. 1
GdPuFe4: theoretical X-ray diffraction stick pattern (Cu Kα), based on a crystal structure in Alexandria, relaxed with GGA-PBE.
Kinematic intensities with the Lorentz-polarization factor, no thermal factor.

Atomic structure:
```
data_GdPuFe4
_cell_length_a 7.2268
_cell_length_b 7.2268
_cell_length_c 7.2268
_cell_angle_alpha 90.00
_cell_angle_beta 90.00
_cell_angle_gamma 90.00
_space_group_name_H-M_alt 'F -4 3 m'
_space_group_IT_number 216
_space_group_name_Hall 'F -4 2 3'
loop_
_atom_site_label
_atom_site_fract_x
_atom_site_fract_y
_atom_site_fract_z
_atom_site_occupancy
Gd1 0.0000 0.0000 0.0000 1
Pu1 0.2500 0.2500 0.7500 1
Fe1 0.1245 0.1245 0.3755 1
```

Principal peaks in the range 10° ≤ 2θ ≤ 80°, in order of rising 2θ:
(hkl)	2theta	d/Å	I (rel.)
1 1 1	21.3	4.172	30.6
2 0 0	24.6	3.613	3.5
2 2 0	35.1	2.555	75.7
3 1 1	41.4	2.179	100.0
2 2 2	43.4	2.086	11.3
3 3 1	55.4	1.658	8.3
4 2 2	63.0	1.475	28.6
3 3 3	67.3	1.391	31.1
4 4 0	74.2	1.278	21.3
5 3 1	78.3	1.222	6.7

=====

No. 2
Gd2Fe5Si8: theoretical X-ray diffraction stick pattern (Cu Kα), based on a crystal structure in Alexandria, relaxed with GGA-PBE.
Kinematic intensities with the Lorentz-polarization factor, no thermal factor.

Atomic structure:
```
data_Gd2Fe5Si8
_cell_length_a 3.8745
_cell_length_b 3.8745
_cell_length_c 16.4099
_cell_angle_alpha 90.00
_cell_angle_beta 90.00
_cell_angle_gamma 120.00
_space_group_name_H-M_alt 'P -3 m 1'
_space_group_IT_number 164
_space_group_name_Hall '-P 3 2"'
loop_
_atom_site_label
_atom_site_fract_x
_atom_site_fract_y
_atom_site_fract_z
_atom_site_occupancy
Gd1 0.3333 0.6667 0.2454 1
Fe1 0.0000 0.0000 0.5000 1
Fe2 0.3333 0.6667 0.5956 1
Fe3 0.3333 0.6667 0.9010 1
Si1 0.0000 0.0000 0.1278 1
Si2 0.0000 0.0000 0.3580 1
Si3 0.3333 0.6667 0.0426 1
Si4 0.3333 0.6667 0.4482 1
```

Principal peaks in the range 10° ≤ 2θ ≤ 80°, in order of rising 2θ:
(hkl)	2theta	d/Å	I (rel.)
1 0 1	27.1	3.287	33.6
0 1 3	31.3	2.860	100.0
0 0 6	32.7	2.735	18.2
1 0 5	38.4	2.346	50.2
0 1 6	42.6	2.120	37.9
1 1 0	46.9	1.937	72.0
1 0 9	57.5	1.603	39.9
1 1 6	58.4	1.581	20.2
0 2 5	62.1	1.494	13.2
0 2 9	77.2	1.235	23.0

=====

No. 3
GdV2Fe10: theoretical X-ray diffraction stick pattern (Cu Kα), based on a crystal structure in Alexandria, relaxed with GGA-PBE.
Kinematic intensities with the Lorentz-polarization factor, no thermal factor.

Atomic structure:
```
data_GdV2Fe10
_cell_length_a 4.6749
_cell_length_b 8.4458
_cell_length_c 8.5169
_cell_angle_alpha 90.00
_cell_angle_beta 90.00
_cell_angle_gamma 90.00
_space_group_name_H-M_alt 'I m m m'
_space_group_IT_number 71
_space_group_name_Hall '-I 2 2'
loop_
_atom_site_label
_atom_site_fract_x
_atom_site_fract_y
_atom_site_fract_z
_atom_site_occupancy
Gd1 0.0000 0.0000 0.0000 1
V1 0.0000 0.0000 0.3586 1
Fe1 0.0000 0.2735 0.5000 1
Fe2 0.0000 0.3593 0.0000 1
Fe3 0.0000 0.5000 0.2711 1
Fe4 0.2500 0.2500 0.2500 1
```

Principal peaks in the range 10° ≤ 2θ ≤ 80°, in order of rising 2θ:
(hkl)	2theta	d/Å	I (rel.)
1 2 1	30.3	2.945	63.7
1 0 3	37.0	2.427	30.3
1 3 0	37.3	2.412	30.2
0 0 4	42.5	2.129	49.3
0 4 0	42.8	2.111	42.2
1 2 3	43.0	2.104	67.3
1 3 2	43.1	2.099	75.7
2 0 2	44.2	2.047	100.0
2 2 2	49.4	1.843	35.9
3 3 2	72.8	1.299	27.6

=====

No. 4
Gd3Y3Fe23: theoretical X-ray diffraction stick pattern (Cu Kα), based on a crystal structure in Alexandria, relaxed with GGA-PBE.
Kinematic intensities with the Lorentz-polarization factor, no thermal factor.

Atomic structure:
```
data_Gd3Y3Fe23
_cell_length_a 14.7336
_cell_length_b 8.5059
_cell_length_c 8.5095
_cell_angle_alpha 90.00
_cell_angle_beta 125.27
_cell_angle_gamma 90.00
_space_group_name_H-M_alt 'C 1 m 1'
_space_group_IT_number 8
loop_
_space_group_symop_operation_xyz
'x,y,z'
'x,-y,z'
'x+1/2,y+1/2,z'
'x+1/2,-y+1/2,z'
loop_
_atom_site_label
_atom_site_fract_x
_atom_site_fract_y
_atom_site_fract_z
_atom_site_occupancy
Gd1 0.0000 0.0000 0.0000 1
Gd2 0.2892 0.2899 0.9993 1
Y1 0.0794 0.5000 0.5793 1
Y2 0.2893 0.2895 0.5787 1
Fe1 0.0390 0.2499 0.7889 1
Fe2 0.0400 0.2502 0.2901 1
Fe3 0.1135 0.5000 0.9658 1
Fe4 0.1137 0.1481 0.6137 1
Fe5 0.1138 0.5000 0.2623 1
Fe6 0.1675 0.0000 0.4111 1
Fe7 0.1676 0.0000 0.9242 1
Fe8 0.1676 0.2435 0.1675 1
Fe9 0.2900 0.0000 0.2904 1
Fe10 0.2896 0.0000 0.7886 1
Fe11 0.2896 0.5000 0.2908 1
Fe12 0.4114 0.0000 0.1677 1
Fe13 0.4115 0.0000 0.6552 1
Fe14 0.4114 0.2437 0.4114 1
Fe15 0.4654 0.1478 0.9655 1
Fe16 0.4653 0.5000 0.6136 1
Fe17 0.4657 0.5000 0.3182 1
```

Principal peaks in the range 10° ≤ 2θ ≤ 80°, in order of rising 2θ:
(hkl)	2theta	d/Å	I (rel.)
0 0 2	25.6	3.473	14.2
2 2 1	32.4	2.760	17.8
3 3 -1	36.6	2.456	25.5
0 0 3	38.9	2.315	72.2
2 2 2	42.5	2.127	100.0
6 0 0	45.2	2.005	13.7
5 5 -2	63.3	1.470	14.8
5 5 -3	65.9	1.418	18.0
4 0 4	77.8	1.228	14.7
3 3 -6	79.2	1.209	13.6

=====

No. 5
FeGe: theoretical X-ray diffraction stick pattern (Cu Kα), based on a crystal structure in Alexandria, relaxed with GGA-PBE.
Kinematic intensities with the Lorentz-polarization factor, no thermal factor.

Atomic structure:
```
data_FeGe
_cell_length_a 8.7215
_cell_length_b 2.8707
_cell_length_c 4.1324
_cell_angle_alpha 90.00
_cell_angle_beta 105.12
_cell_angle_gamma 90.00
_space_group_name_H-M_alt 'C 1 2/m 1'
_space_group_IT_number 12
loop_
_space_group_symop_operation_xyz
'x,y,z'
'-x,-y,-z'
'-x,y,-z'
'x,-y,z'
'x+1/2,y+1/2,z'
'-x+1/2,-y+1/2,-z'
'-x+1/2,y+1/2,-z'
'x+1/2,-y+1/2,z'
loop_
_atom_site_label
_atom_site_fract_x
_atom_site_fract_y
_atom_site_fract_z
_atom_site_occupancy
Fe1 0.1183 0.0000 0.3002 1
Ge1 0.1210 0.5000 0.8018 1
```

Principal peaks in the range 10° ≤ 2θ ≤ 80°, in order of rising 2θ:
(hkl)	2theta	d/Å	I (rel.)
1 1 -1	38.5	2.339	28.7
1 1 1	41.8	2.163	100.0
4 0 0	43.0	2.105	58.5
2 0 -2	44.9	2.018	22.0
0 0 2	45.5	1.995	32.1
3 1 -1	46.7	1.944	80.5
4 0 -2	54.5	1.684	14.6
3 1 1	54.9	1.672	15.8
0 2 0	65.0	1.435	16.3
3 1 -3	78.5	1.218	17.1

=====

No. 6
FeGe: theoretical X-ray diffraction stick pattern (Cu Kα), based on a crystal structure in Alexandria, relaxed with GGA-PBE.
Kinematic intensities with the Lorentz-polarization factor, no thermal factor.

Atomic structure:
```
data_FeGe
_cell_length_a 3.9040
_cell_length_b 7.7149
_cell_length_c 5.6397
_cell_angle_alpha 90.00
_cell_angle_beta 90.00
_cell_angle_gamma 90.00
_space_group_name_H-M_alt 'A m m 2'
_space_group_IT_number 38
loop_
_space_group_symop_operation_xyz
'x,y,z'
'-x,-y,z'
'-x,y,z'
'x,-y,z'
'x,y+1/2,z+1/2'
'-x,-y+1/2,z+1/2'
'-x,y+1/2,z+1/2'
'x,-y+1/2,z+1/2'
loop_
_atom_site_label
_atom_site_fract_x
_atom_site_fract_y
_atom_site_fract_z
_atom_site_occupancy
Fe1 0.0000 0.0000 0.0000 1
Fe2 0.5000 0.1962 0.9646 1
Ge1 0.0000 0.1771 0.6542 1
Ge2 0.5000 0.0000 0.3164 1
```

Principal peaks in the range 10° ≤ 2θ ≤ 80°, in order of rising 2θ:
(hkl)	2theta	d/Å	I (rel.)
1 1 1	30.2	2.964	56.6
0 3 1	38.5	2.340	49.4
1 0 2	39.4	2.286	64.5
0 2 2	39.6	2.276	12.2
1 3 1	45.2	2.007	100.0
1 2 2	46.2	1.967	69.9
2 0 0	46.5	1.952	50.1
0 1 3	49.9	1.826	27.4
2 3 1	61.9	1.499	23.6
2 1 3	70.6	1.334	18.4

=====

No. 7
Fe3Ge4: theoretical X-ray diffraction stick pattern (Cu Kα), based on a crystal structure in Alexandria, relaxed with GGA-PBE.
Kinematic intensities with the Lorentz-polarization factor, no thermal factor.

Atomic structure:
```
data_Fe3Ge4
_cell_length_a 8.1384
_cell_length_b 8.1384
_cell_length_c 11.4067
_cell_angle_alpha 90.00
_cell_angle_beta 90.00
_cell_angle_gamma 120.00
_space_group_name_H-M_alt 'R -3 m'
_space_group_IT_number 166
_space_group_name_Hall '-R 3 2"'
loop_
_atom_site_label
_atom_site_fract_x
_atom_site_fract_y
_atom_site_fract_z
_atom_site_occupancy
Fe1 0.0000 0.0000 0.0000 1
Fe2 0.0000 0.0000 0.4038 1
Fe3 0.0000 0.5000 0.5000 1
Ge1 0.0000 0.0000 0.2082 1
Ge2 0.0016 0.5008 0.7490 1
```

Principal peaks in the range 10° ≤ 2θ ≤ 80°, in order of rising 2θ:
(hkl)	2theta	d/Å	I (rel.)
0 2 1	26.5	3.367	15.1
2 0 2	29.8	2.998	30.6
0 2 4	40.7	2.217	65.0
0 1 5	41.6	2.170	19.5
2 2 0	44.5	2.035	100.0
1 2 5	52.8	1.733	19.6
4 0 4	61.9	1.499	18.0
3 1 5	62.6	1.484	10.8
2 0 8	71.4	1.322	11.2
2 4 4	79.4	1.207	17.2

=====

No. 8
FeGe: theoretical X-ray diffraction stick pattern (Cu Kα), based on a crystal structure in Alexandria, relaxed with GGA-PBE.
Kinematic intensities with the Lorentz-polarization factor, no thermal factor.

Atomic structure:
```
data_FeGe
_cell_length_a 4.9599
_cell_length_b 4.9599
_cell_length_c 4.0387
_cell_angle_alpha 90.00
_cell_angle_beta 90.00
_cell_angle_gamma 120.00
_space_group_name_H-M_alt 'P 6/m m m'
_space_group_IT_number 191
_space_group_name_Hall '-P 6 2'
loop_
_atom_site_label
_atom_site_fract_x
_atom_site_fract_y
_atom_site_fract_z
_atom_site_occupancy
Fe1 0.0000 0.5000 0.0000 1
Ge1 0.0000 0.0000 0.0000 1
Ge2 0.3333 0.6667 0.5000 1
```

Principal peaks in the range 10° ≤ 2θ ≤ 80°, in order of rising 2θ:
(hkl)	2theta	d/Å	I (rel.)
1 0 0	20.7	4.295	16.3
0 0 1	22.0	4.039	14.3
1 0 1	30.4	2.942	28.6
1 1 0	36.2	2.480	29.9
2 0 0	42.1	2.148	21.6
1 1 1	42.8	2.113	23.9
0 0 2	44.9	2.019	31.0
2 0 1	48.0	1.896	100.0
1 1 2	59.0	1.566	14.5
2 2 0	76.9	1.240	17.5